# HfTh3Sn5
Computed X-ray diffraction stick pattern, Cu Kα (weighted mean of Kα1 and Kα2). Input: DFT lattice parameters and positions (GGA-PBE).
Kinematic intensities with the Lorentz-polarization factor, no thermal factor.

Structure:
Lattice parameters (Å, degrees): 9.4911 9.4911 6.2939 90.00 90.00 120.00
Space group P6_3/mcm (No. 193)
Asymmetric unit:
Hf: 0.0000 0.0000 0.0000 [2 per cell]
Th: 0.0000 0.3831 0.2500 [6 per cell]
Sn: 0.0000 0.2668 0.7500 [6 per cell]
Sn: 0.3333 0.6667 0.0000 [4 per cell]

Top 10 peaks for 10° ≤ 2θ ≤ 80°, low angle first:
(1 1 1), 2θ 23.5, I 21; (2 1 1), 2θ 32.1, I 66; (3 0 0), 2θ 32.7, I 90; (1 1 2), 2θ 34.2, I 100; (3 1 1), 2θ 42.2, I 26; (2 2 2), 2θ 48.0, I 27; (2 1 3), 2θ 52.6, I 17; (4 1 2), 2θ 59.3, I 18; (4 2 1), 2θ 61.5, I 17; (3 0 4), 2θ 68.8, I 23


# Hf4Ti2Sn
Computed X-ray diffraction stick pattern, Cu Kα (weighted mean of Kα1 and Kα2). Input: DFT lattice parameters and positions (GGA-PBE).
Kinematic intensities with the Lorentz-polarization factor, no thermal factor.

Structure:
Lattice parameters (Å, degrees): 5.671 5.308 9.915 90.00 90.00 90.00
Space group Pmna (No. 53)
Asymmetric unit:
Hf: 0.000 0.036 0.180 [4 per cell]
Hf: 0.250 0.457 0.750 [4 per cell]
Ti: 0.000 0.242 0.474 [4 per cell]
Sn: 0.000 0.500 0.000 [2 per cell]

Top 10 peaks for 10° ≤ 2θ ≤ 80°, low angle first:
(0 0 2), 2θ 17.9, I 54; (1 0 1), 2θ 18.0, I 25; (1 0 3), 2θ 31.3, I 20; (0 2 0), 2θ 33.8, I 37; (1 1 3), 2θ 35.7, I 65; (2 1 0), 2θ 35.9, I 48; (0 2 2), 2θ 38.5, I 58; (0 1 4), 2θ 40.2, I 31; (2 1 2), 2θ 40.4, I 100; (2 0 6), 2θ 65.4, I 19


# Hf3Ti6Sn
Computed X-ray diffraction stick pattern, Cu Kα (weighted mean of Kα1 and Kα2). Input: DFT lattice parameters and positions (GGA-PBE).
Kinematic intensities with the Lorentz-polarization factor, no thermal factor.

Structure:
Lattice parameters (Å, degrees): 11.7920 11.7920 5.1169 90.00 90.00 120.00
Space group R3m (No. 160, hexagonal axes)
Asymmetric unit:
Hf: 0.2006 0.4011 0.0000 [9 per cell]
Ti: 0.0144 0.5072 0.1655 [9 per cell]
Ti: 0.0745 0.1490 0.9629 [9 per cell]
Sn: 0.0000 0.0000 0.4813 [3 per cell]

Top 10 peaks for 10° ≤ 2θ ≤ 80°, low angle first:
(1 0 1), 2θ 19.4, I 27; (0 2 1), 2θ 24.6, I 52; (3 0 0), 2θ 26.2, I 37; (2 2 0), 2θ 30.3, I 58; (0 1 2), 2θ 36.2, I 59; (2 0 2), 2θ 39.4, I 30; (4 1 0), 2θ 40.5, I 20; (3 2 1), 2θ 42.4, I 100; (2 3 2), 2θ 53.0, I 28; (7 0 1), 2θ 66.7, I 32


# HfTi3Sn3
Computed X-ray diffraction stick pattern, Cu Kα (weighted mean of Kα1 and Kα2). Input: DFT lattice parameters and positions (GGA-PBE).
Kinematic intensities with the Lorentz-polarization factor, no thermal factor.

Structure:
Lattice parameters (Å, degrees): 8.0691 8.0691 5.0017 90.00 90.00 120.00
Space group P6_3/m (No. 176)
Asymmetric unit:
Hf: 0.3333 0.6667 0.2500 [2 per cell]
Ti: 0.0292 0.8029 0.2500 [6 per cell]
Sn: 0.0761 0.6353 0.7500 [6 per cell]

Top 10 peaks for 10° ≤ 2θ ≤ 80°, low angle first:
(1 0 0), 2θ 12.7, I 22; (1 1 1), 2θ 28.4, I 16; (2 0 1), 2θ 31.2, I 18; (1 2 0), 2θ 33.9, I 25; (0 0 2), 2θ 35.9, I 30; (1 2 1), 2θ 38.5, I 100; (1 2 2), 2θ 50.2, I 16; (4 1 0), 2θ 60.7, I 20; (1 2 3), 2θ 66.3, I 20; (4 1 2), 2θ 72.6, I 18


# Hf3Ti3Sn
Computed X-ray diffraction stick pattern, Cu Kα (weighted mean of Kα1 and Kα2). Input: DFT lattice parameters and positions (GGA-PBE).
Kinematic intensities with the Lorentz-polarization factor, no thermal factor.

Structure:
Lattice parameters (Å, degrees): 8.2379 8.2379 4.7679 90.00 90.00 120.00
Space group P6_3/m (No. 176)
Asymmetric unit:
Hf: 0.0844 0.8264 0.2500 [6 per cell]
Ti: 0.0962 0.5900 0.7500 [6 per cell]
Sn: 0.3333 0.6667 0.2500 [2 per cell]

Top 10 peaks for 10° ≤ 2θ ≤ 80°, low angle first:
(1 0 0), 2θ 12.4, I 22; (1 0 1), 2θ 22.4, I 13; (2 0 1), 2θ 31.3, I 18; (1 2 0), 2θ 33.2, I 27; (0 0 2), 2θ 37.7, I 27; (1 2 1), 2θ 38.3, I 100; (1 2 2), 2θ 51.1, I 16; (4 1 0), 2θ 59.3, I 18; (1 2 3), 2θ 68.5, I 18; (4 1 2), 2θ 72.5, I 15


# Hf8Ti3Sn2
Computed X-ray diffraction stick pattern, Cu Kα (weighted mean of Kα1 and Kα2). Input: DFT lattice parameters and positions (GGA-PBE).
Kinematic intensities with the Lorentz-polarization factor, no thermal factor.

Structure:
Lattice parameters (Å, degrees): 9.135 14.669 4.572 90.00 90.00 90.00
Space group Cmmm (No. 65)
Asymmetric unit:
Hf: 0.000 0.102 0.000 [4 per cell]
Hf: 0.000 0.359 0.000 [4 per cell]
Hf: 0.244 0.113 0.500 [8 per cell]
Ti: 0.000 0.500 0.500 [2 per cell]
Ti: 0.207 0.500 0.000 [4 per cell]
Sn: 0.000 0.242 0.500 [4 per cell]

Top 10 peaks for 10° ≤ 2θ ≤ 80°, low angle first:
(2 2 0), 2θ 22.9, I 11; (0 4 0), 2θ 24.3, I 22; (2 0 1), 2θ 27.6, I 42; (2 4 1), 2θ 37.1, I 100; (0 0 2), 2θ 39.4, I 48; (4 4 0), 2θ 46.8, I 17; (4 0 2), 2θ 57.0, I 16; (6 0 1), 2θ 64.5, I 8; (0 8 2), 2θ 65.2, I 12; (2 4 3), 2θ 70.0, I 30


# Hf3VSn
Computed X-ray diffraction stick pattern, Cu Kα (weighted mean of Kα1 and Kα2). Input: DFT lattice parameters and positions (GGA-PBE).
Kinematic intensities with the Lorentz-polarization factor, no thermal factor.

Structure:
Lattice parameters (Å, degrees): 3.246 7.919 8.425 84.26 89.96 78.21
Space group P-1 (No. 2)
Asymmetric unit:
Hf: 0.053 0.392 0.235 [2 per cell]
Hf: 0.251 0.997 0.806 [2 per cell]
Hf: 0.407 0.685 0.429 [2 per cell]
V: 0.206 0.090 0.432 [2 per cell]
Sn: 0.399 0.703 0.065 [2 per cell]

Top 10 peaks for 10° ≤ 2θ ≤ 80°, low angle first:
(0 2 -2), 2θ 33.1, I 38; (1 2 1), 2θ 33.8, I 94; (0 3 0), 2θ 34.9, I 100; (1 0 -2), 2θ 35.1, I 85; (0 1 -3), 2θ 35.3, I 41; (0 2 3), 2θ 37.8, I 50; (1 -2 0), 2θ 40.3, I 22; (1 3 -2), 2θ 47.5, I 22; (2 1 0), 2θ 56.7, I 34; (1 5 0), 2θ 61.2, I 20


# HfV9Sn2
Computed X-ray diffraction stick pattern, Cu Kα (weighted mean of Kα1 and Kα2). Input: DFT lattice parameters and positions (GGA-PBE).
Kinematic intensities with the Lorentz-polarization factor, no thermal factor.

Structure:
Lattice parameters (Å, degrees): 5.2972 5.2972 23.5448 90.00 90.00 120.00
Space group R-3m (No. 166, hexagonal axes)
Asymmetric unit:
Hf: 0.0000 0.0000 0.0000 [3 per cell]
V: 0.0000 0.0000 0.3333 [6 per cell]
V: 0.0000 0.0000 0.5000 [3 per cell]
V: 0.0015 0.5007 0.9170 [18 per cell]
Sn: 0.0000 0.0000 0.1377 [6 per cell]

Top 10 peaks for 10° ≤ 2θ ≤ 80°, low angle first:
(1 0 1), 2θ 19.7, I 21; (1 0 7), 2θ 33.0, I 51; (1 1 0), 2θ 33.8, I 66; (0 1 8), 2θ 36.3, I 45; (0 2 1), 2θ 39.5, I 48; (1 1 6), 2θ 41.1, I 100; (2 1 7), 2θ 60.0, I 19; (1 2 8), 2θ 62.1, I 18; (3 0 6), 2θ 65.5, I 24; (2 2 0), 2θ 71.2, I 24


# Hf3SnW
Computed X-ray diffraction stick pattern, Cu Kα (weighted mean of Kα1 and Kα2). Input: DFT lattice parameters and positions (GGA-PBE).
Kinematic intensities with the Lorentz-polarization factor, no thermal factor.

Structure:
Lattice parameters (Å, degrees): 16.778 3.426 7.337 90.00 101.90 90.00
Space group C2/m (No. 12)
Asymmetric unit:
Hf: 0.104 0.000 0.023 [4 per cell]
Hf: 0.105 0.000 0.572 [4 per cell]
Hf: 0.206 0.500 0.336 [4 per cell]
Sn: 0.015 0.500 0.257 [4 per cell]
W: 0.202 0.500 0.859 [4 per cell]

Top 10 peaks for 10° ≤ 2θ ≤ 80°, low angle first:
(1 1 -2), 2θ 35.9, I 100; (4 0 2), 2θ 36.5, I 46; (6 0 -2), 2θ 37.0, I 44; (5 1 0), 2θ 38.0, I 86; (2 0 -4), 2θ 49.7, I 17; (0 2 0), 2θ 53.5, I 17; (3 1 4), 2θ 63.9, I 16; (7 1 -4), 2θ 64.5, I 14; (4 2 2), 2θ 66.5, I 16; (6 2 -2), 2θ 66.8, I 16


# Hf6ZnSn
Computed X-ray diffraction stick pattern, Cu Kα (weighted mean of Kα1 and Kα2). Input: DFT lattice parameters and positions (GGA-PBE).
Kinematic intensities with the Lorentz-polarization factor, no thermal factor.

Structure:
Lattice parameters (Å, degrees): 6.179 11.026 6.026 90.00 118.22 90.00
Space group C2/m (No. 12)
Asymmetric unit:
Hf: 0.010 0.224 0.260 [8 per cell]
Hf: 0.016 0.500 0.261 [4 per cell]
Zn: 0.000 0.000 0.500 [2 per cell]
Sn: 0.000 0.000 0.000 [2 per cell]

Top 10 peaks for 10° ≤ 2θ ≤ 80°, low angle first:
(1 3 0), 2θ 29.3, I 41; (1 1 -2), 2θ 30.8, I 29; (0 4 0), 2θ 32.5, I 83; (2 0 0), 2θ 32.9, I 100; (0 0 2), 2θ 33.8, I 44; (2 0 -2), 2θ 34.3, I 44; (1 3 -2), 2θ 38.6, I 64; (2 4 0), 2θ 46.9, I 59; (1 3 2), 2θ 51.3, I 28; (3 3 -2), 2θ 52.0, I 27


# Hf8Zn2Sn
Computed X-ray diffraction stick pattern, Cu Kα (weighted mean of Kα1 and Kα2). Input: DFT lattice parameters and positions (GGA-PBE).
Kinematic intensities with the Lorentz-polarization factor, no thermal factor.

Structure:
Lattice parameters (Å, degrees): 7.854 12.615 5.068 90.00 109.18 90.00
Space group C2/m (No. 12)
Asymmetric unit:
Hf: 0.000 0.238 0.000 [4 per cell]
Hf: 0.091 0.500 0.802 [4 per cell]
Hf: 0.202 0.119 0.612 [8 per cell]
Zn: 0.000 0.307 0.500 [4 per cell]
Sn: 0.000 0.000 0.000 [2 per cell]

Top 10 peaks for 10° ≤ 2θ ≤ 80°, low angle first:
(1 3 1), 2θ 33.1, I 24; (0 4 1), 2θ 34.0, I 93; (2 0 1), 2θ 35.1, I 70; (3 1 -1), 2θ 35.7, I 79; (1 1 -2), 2θ 36.2, I 63; (2 4 0), 2θ 37.4, I 100; (2 2 -2), 2θ 40.2, I 20; (1 5 -1), 2θ 40.4, I 66; (4 4 -2), 2θ 59.8, I 22; (2 8 1), 2θ 70.1, I 24


# Hf4ZnSn2
Computed X-ray diffraction stick pattern, Cu Kα (weighted mean of Kα1 and Kα2). Input: DFT lattice parameters and positions (GGA-PBE).
Kinematic intensities with the Lorentz-polarization factor, no thermal factor.

Structure:
Lattice parameters (Å, degrees): 15.046 3.180 7.450 90.00 119.35 90.00
Space group C2/m (No. 12)
Asymmetric unit:
Hf: 0.076 0.000 0.432 [4 per cell]
Hf: 0.119 0.500 0.859 [4 per cell]
Zn: 0.000 0.000 0.000 [2 per cell]
Sn: 0.224 0.000 0.268 [4 per cell]

Top 10 peaks for 10° ≤ 2θ ≤ 80°, low angle first:
(4 0 -2), 2θ 27.6, I 15; (1 1 1), 2θ 33.5, I 100; (2 0 2), 2θ 36.4, I 80; (4 0 -3), 2θ 36.9, I 37; (1 1 -2), 2θ 37.8, I 14; (5 1 -1), 2θ 41.4, I 22; (5 1 -2), 2θ 42.8, I 33; (3 1 -4), 2θ 57.8, I 16; (3 1 3), 2θ 63.7, I 14; (2 2 2), 2θ 70.4, I 24


# Hf4ZrSn
Computed X-ray diffraction stick pattern, Cu Kα (weighted mean of Kα1 and Kα2). Input: DFT lattice parameters and positions (GGA-PBE).
Kinematic intensities with the Lorentz-polarization factor, no thermal factor.

Structure:
Lattice parameters (Å, degrees): 5.496 9.417 5.487 90.00 109.94 90.00
Space group C2/m (No. 12)
Asymmetric unit:
Hf: 0.000 0.161 0.000 [4 per cell]
Hf: 0.000 0.332 0.500 [4 per cell]
Zr: 0.000 0.500 0.000 [2 per cell]
Sn: 0.000 0.000 0.500 [2 per cell]

Top 10 peaks for 10° ≤ 2θ ≤ 80°, low angle first:
(2 0 0), 2θ 34.8, I 100; (1 3 -1), 2θ 34.9, I 99; (2 0 -2), 2θ 40.1, I 34; (1 3 1), 2θ 40.6, I 65; (3 3 -1), 2θ 58.4, I 45; (2 0 2), 2θ 58.6, I 11; (2 0 -4), 2θ 69.5, I 20; (3 3 1), 2θ 70.0, I 26; (2 6 0), 2θ 70.2, I 26; (2 6 -2), 2θ 73.6, I 11